Y2Si3Rh: computed X-ray diffraction stick pattern (a wavelength of 1.5418 Å), based on a structure optimized by DFT (PBE).
Neutral-atom scattering factors, no anomalous dispersion.

Peak list (6 most intense, 2θ = 10–80°, in order of rising 2θ)
h k l	2θ/deg	I/Imax
1 1 0	21.73	13
2 0 2	33.91	100
2 2 0	44.29	43
4 0 2	56.93	21
2 2 4	65.52	21
4 2 2	74.84	18

Crystal structure
a b c (Å): 8.1805 8.1805 7.9426
angles (deg): 90.00 90.00 120.00
Positions (direct):
1 Y 0.0000 0.0000 0.2500
2 Y 0.0000 0.0000 0.7500
3 Y 0.0172 0.5086 0.2500
4 Y 0.4914 0.5086 0.2500
5 Y 0.4914 0.9828 0.2500
6 Y 0.5086 0.0172 0.7500
7 Y 0.5086 0.4914 0.7500
8 Y 0.9828 0.4914 0.7500
9 Si 0.1669 0.3339 0.5005
10 Si 0.1669 0.3339 0.9995
11 Si 0.1669 0.8331 0.5005
12 Si 0.1669 0.8331 0.9995
13 Si 0.3339 0.1669 0.0005
14 Si 0.3339 0.1669 0.4995
15 Si 0.6661 0.8331 0.5005
16 Si 0.6661 0.8331 0.9995
17 Si 0.8331 0.1669 0.0005
18 Si 0.8331 0.1669 0.4995
19 Si 0.8331 0.6661 0.0005
20 Si 0.8331 0.6661 0.4995
21 Rh 0.3333 0.6667 0.5319
22 Rh 0.3333 0.6667 0.9681
23 Rh 0.6667 0.3333 0.0319
24 Rh 0.6667 0.3333 0.4681